1.
Starting from a DFT-relaxed cell (PBE+U, the Materials Project), the powder XRD pattern of Li7Mn2Co3O12 was calculated for Cu Kα.
Neutral-atom scattering factors, no anomalous dispersion.

Principal peaks in the range 10 to 80 degrees two-theta, in order of rising 2θ:
two_theta, d/Å, I (rel.)
18.5, 4.808, 100
35.8, 2.511, 27
35.9, 2.499, 15
43.2, 2.095, 30
43.5, 2.078, 29
43.8, 2.067, 28
62.4, 1.488, 8
63.0, 1.476, 8
63.2, 1.471, 8
63.4, 1.466, 8
63.6, 1.463, 8
63.7, 1.460, 8

Structural model:
```
data_Li7Mn2Co3O12
_chemical_formula_sum 'Li7 Mn2 Co3 O12'
_space_group_name_H-M_alt 'P 1'
_space_group_IT_number 1
_cell_length_a 2.926
_cell_length_b 5.117
_cell_length_c 14.666
_cell_angle_alpha 81.08
_cell_angle_beta 84.61
_cell_angle_gamma 89.76
loop_
_space_group_symop_operation_xyz
'x,y,z'
loop_
_atom_site_label
_atom_site_fract_x
_atom_site_fract_y
_atom_site_fract_z
Li1 0.000 0.000 0.000
Li2 0.086 0.413 0.843
Li3 0.250 0.256 0.499
Li4 0.421 0.076 0.157
Li5 0.579 0.924 0.843
Li6 0.750 0.744 0.501
Li7 0.914 0.587 0.157
Mn1 0.168 0.834 0.668
Mn2 0.832 0.166 0.332
Co1 0.334 0.666 0.331
Co2 0.500 0.500 0.000
Co3 0.666 0.334 0.669
O1 0.045 0.688 0.926
O2 0.129 0.109 0.746
O3 0.204 0.557 0.590
O4 0.298 0.986 0.408
O5 0.367 0.343 0.257
O6 0.464 0.753 0.074
O7 0.536 0.247 0.926
O8 0.633 0.657 0.743
O9 0.702 0.014 0.592
O10 0.796 0.443 0.410
O11 0.871 0.891 0.254
O12 0.955 0.312 0.074
```

2.
Starting from a DFT-relaxed cell (PBE+U, the Materials Project), the powder XRD pattern of Li7Mn4CoO12 was calculated for Cu Kα.
Neutral-atom scattering factors, no anomalous dispersion.

Principal peaks in the range 10 to 80 degrees two-theta, in order of rising 2θ:
two_theta, d/Å, I (rel.)
12.1, 7.288, 8
18.3, 4.859, 100
34.2, 2.625, 18
36.3, 2.477, 23
41.4, 2.182, 34
44.0, 2.056, 56
47.2, 1.924, 13
57.9, 1.592, 10
61.7, 1.504, 17
62.4, 1.489, 16
63.0, 1.476, 7
65.1, 1.433, 7

Structural model:
```
data_Li7Mn4CoO12
_chemical_formula_sum 'Li7 Mn4 Co1 O12'
_space_group_name_H-M_alt 'P 1'
_space_group_IT_number 1
_cell_length_a 14.798
_cell_length_b 14.798
_cell_length_c 5.304
_cell_angle_alpha 98.22
_cell_angle_beta 98.22
_cell_angle_gamma 11.11
loop_
_space_group_symop_operation_xyz
'x,y,z'
loop_
_atom_site_label
_atom_site_fract_x
_atom_site_fract_y
_atom_site_fract_z
Li1 0.000 0.000 0.000
Li2 0.171 0.171 0.511
Li3 0.250 0.250 0.247
Li4 0.329 0.329 0.981
Li5 0.501 0.501 0.498
Li6 0.672 0.672 0.016
Li7 0.827 0.827 0.477
Mn1 0.417 0.417 0.743
Mn2 0.584 0.584 0.250
Mn3 0.749 0.749 0.748
Mn4 0.916 0.916 0.242
Co1 0.083 0.083 0.751
O1 0.045 0.045 0.355
O2 0.122 0.122 0.138
O3 0.212 0.212 0.861
O4 0.287 0.287 0.633
O5 0.378 0.378 0.352
O6 0.455 0.455 0.142
O7 0.546 0.546 0.860
O8 0.619 0.619 0.636
O9 0.712 0.712 0.417
O10 0.787 0.787 0.077
O11 0.879 0.879 0.851
O12 0.956 0.956 0.641
```

3.
Starting from a DFT-relaxed cell (PBE+U, the Materials Project), the powder XRD pattern of Li4MnCo2O7 was calculated for Cu Kα.
Neutral-atom scattering factors, no anomalous dispersion.

Principal peaks in the range 10 to 80 degrees two-theta, in order of rising 2θ:
two_theta, d/Å, I (rel.)
10.2, 8.685, 9
18.4, 4.830, 100
34.9, 2.574, 17
36.2, 2.481, 12
36.8, 2.442, 12
37.4, 2.403, 8
41.9, 2.158, 33
44.1, 2.055, 27
44.7, 2.025, 27
62.2, 1.492, 8
62.6, 1.485, 16
63.3, 1.469, 8

Structural model:
```
data_Li4MnCo2O7
_chemical_formula_sum 'Li8 Mn2 Co4 O14'
_space_group_name_H-M_alt 'P 1'
_space_group_IT_number 1
_cell_length_a 2.943
_cell_length_b 5.068
_cell_length_c 17.451
_cell_angle_alpha 84.53
_cell_angle_beta 88.03
_cell_angle_gamma 76.11
loop_
_space_group_symop_operation_xyz
'x,y,z'
loop_
_atom_site_label
_atom_site_fract_x
_atom_site_fract_y
_atom_site_fract_z
Li1 0.000 0.000 0.000
Li2 0.017 0.988 0.499
Li3 0.149 0.707 0.784
Li4 0.306 0.400 0.069
Li5 0.447 0.125 0.354
Li6 0.592 0.840 0.641
Li7 0.763 0.545 0.934
Li8 0.871 0.270 0.212
Mn1 0.446 0.132 0.862
Mn2 0.741 0.553 0.425
Co1 0.158 0.699 0.282
Co2 0.309 0.409 0.570
Co3 0.583 0.843 0.136
Co4 0.889 0.267 0.714
O1 0.045 0.882 0.887
O2 0.073 0.825 0.386
O3 0.236 0.535 0.680
O4 0.239 0.580 0.182
O5 0.372 0.271 0.956
O6 0.403 0.281 0.462
O7 0.502 0.956 0.242
O8 0.525 0.007 0.751
O9 0.660 0.678 0.532
O10 0.660 0.703 0.048
O11 0.826 0.429 0.321
O12 0.847 0.379 0.824
O13 0.928 0.102 0.110
O14 0.950 0.144 0.606
```

4.
Starting from a DFT-relaxed cell (PBE+U, the Materials Project), the powder XRD pattern of Li2Mn3CoO8 was calculated for Cu Kα.
Neutral-atom scattering factors, no anomalous dispersion.

Principal peaks in the range 10 to 80 degrees two-theta, in order of rising 2θ:
two_theta, d/Å, I (rel.)
18.4, 4.825, 72
19.8, 4.478, 100
25.5, 3.490, 33
33.0, 2.714, 42
36.0, 2.497, 60
36.8, 2.445, 52
40.3, 2.239, 38
45.6, 1.987, 58
52.4, 1.745, 22
56.0, 1.643, 22
60.3, 1.534, 50
63.8, 1.459, 41

Structural model:
```
data_Li2Mn3CoO8
_chemical_formula_sum 'Li4 Mn6 Co2 O16'
_space_group_name_H-M_alt 'P 1'
_space_group_IT_number 1
_cell_length_a 5.837
_cell_length_b 5.837
_cell_length_c 9.650
_cell_angle_alpha 90.00
_cell_angle_beta 90.00
_cell_angle_gamma 120.00
loop_
_space_group_symop_operation_xyz
'x,y,z'
loop_
_atom_site_label
_atom_site_fract_x
_atom_site_fract_y
_atom_site_fract_z
Li1 0.000 0.000 0.000
Li2 0.000 0.000 0.500
Li3 0.333 0.667 0.388
Li4 0.667 0.333 0.888
Mn1 0.169 0.338 0.717
Mn2 0.169 0.831 0.717
Mn3 0.338 0.169 0.217
Mn4 0.662 0.831 0.717
Mn5 0.831 0.169 0.217
Mn6 0.831 0.662 0.217
Co1 0.333 0.667 0.995
Co2 0.667 0.333 0.495
O1 0.000 0.000 0.313
O2 0.000 0.000 0.813
O3 0.035 0.518 0.832
O4 0.159 0.318 0.108
O5 0.159 0.841 0.108
O6 0.318 0.159 0.608
O7 0.333 0.667 0.611
O8 0.482 0.518 0.832
O9 0.482 0.965 0.832
O10 0.518 0.035 0.332
O11 0.518 0.482 0.332
O12 0.667 0.333 0.111
O13 0.682 0.841 0.108
O14 0.841 0.159 0.608
O15 0.841 0.682 0.608
O16 0.965 0.482 0.332
```